Theoretical X-ray diffraction stick pattern
Compound: LiCd4Au
Radiation: λ = 1.5418 Å (Cu Kα)
Structure: a structure optimized by DFT (PBE)

Most intense lines, 10 to 90 degrees two-theta, by intensity:
- d = 2.480 Å, 36.2 deg, I = 100
- d = 2.468 Å, 36.4 deg, I = 99
- d = 2.244 Å, 40.2 deg, I = 37
- d = 2.233 Å, 40.4 deg, I = 36
- d = 4.200 Å, 21.2 deg, I = 30
- d = 1.334 Å, 70.6 deg, I = 27
- d = 1.583 Å, 58.3 deg, I = 24
- d = 1.982 Å, 45.8 deg, I = 23
- d = 1.486 Å, 62.5 deg, I = 20
- d = 4.466 Å, 19.9 deg, I = 18

Crystal structure
a b c (Å): 6.3562 6.3562 4.4656
angles (deg): 90.35 90.35 41.36
Element x y z (fractional)
Li 0.0000 0.0000 0.0000
Cd 0.1559 0.1559 0.5013
Cd 0.3397 0.3397 0.9996
Cd 0.6603 0.6603 0.0004
Cd 0.8441 0.8441 0.4987
Au 0.5000 0.5000 0.5000

Theoretical X-ray diffraction stick pattern
Compound: Li4Cd3Au2
Radiation: λ = 1.5418 Å (Cu Kα)
Structure: a structure optimized by DFT (PBE)

Most intense lines, 10 to 90 degrees two-theta, by intensity:
- d = 3.299 Å, 27.0 deg, I = 100
- d = 4.067 Å, 21.9 deg, I = 99
- d = 2.381 Å, 37.8 deg, I = 89
- d = 2.355 Å, 38.2 deg, I = 89
- d = 2.369 Å, 38.0 deg, I = 88
- d = 2.341 Å, 38.4 deg, I = 87
- d = 3.409 Å, 26.1 deg, I = 75
- d = 3.378 Å, 26.4 deg, I = 74
- d = 2.180 Å, 41.4 deg, I = 70
- d = 2.152 Å, 42.0 deg, I = 68

Crystal structure
a b c (Å): 4.3051 4.7729 8.6554
angles (deg): 80.67 89.61 63.49
Element x y z (fractional)
Li 0.0022 0.4941 0.3215
Li 0.3331 0.8331 0.1054
Li 0.6669 0.1669 0.8946
Li 0.9978 0.5059 0.6785
Cd 0.0000 0.5000 0.0000
Cd 0.3333 0.8319 0.4320
Cd 0.6667 0.1681 0.5680
Au 0.3279 0.8446 0.7838
Au 0.6721 0.1554 0.2162

Theoretical X-ray diffraction stick pattern
Compound: Li3Cd2Au2
Radiation: λ = 1.5418 Å (Cu Kα)
Structure: a structure optimized by DFT (PBE)

Most intense lines, 10 to 90 degrees two-theta, by intensity:
- d = 2.396 Å, 37.5 deg, I = 100
- d = 2.366 Å, 38.0 deg, I = 94
- d = 3.748 Å, 23.7 deg, I = 63
- d = 3.252 Å, 27.4 deg, I = 40
- d = 6.504 Å, 13.6 deg, I = 36
- d = 3.364 Å, 26.5 deg, I = 33
- d = 2.115 Å, 42.7 deg, I = 33
- d = 2.061 Å, 43.9 deg, I = 32
- d = 2.014 Å, 45.0 deg, I = 29
- d = 4.080 Å, 21.8 deg, I = 28

Crystal structure
a b c (Å): 5.0275 5.0275 6.6224
angles (deg): 99.90 99.90 48.41
Element x y z (fractional)
Li 0.0000 0.0000 0.0000
Li 0.1534 0.1534 0.4246
Li 0.8466 0.8466 0.5754
Cd 0.4328 0.4328 0.2791
Cd 0.5672 0.5672 0.7209
Au 0.2832 0.2832 0.8391
Au 0.7168 0.7168 0.1609

Theoretical X-ray diffraction stick pattern
Compound: Li4Cd7Au
Radiation: λ = 1.5418 Å (Cu Kα)
Structure: a structure optimized by DFT (PBE)

Most intense lines, 10 to 90 degrees two-theta, by intensity:
- d = 2.364 Å, 38.1 deg, I = 100
- d = 2.392 Å, 37.6 deg, I = 92
- d = 3.898 Å, 22.8 deg, I = 44
- d = 1.375 Å, 68.2 deg, I = 34
- d = 1.681 Å, 54.6 deg, I = 34
- d = 4.142 Å, 21.5 deg, I = 33
- d = 2.816 Å, 31.8 deg, I = 16
- d = 1.381 Å, 67.9 deg, I = 15
- d = 1.360 Å, 69.1 deg, I = 13
- d = 1.196 Å, 80.3 deg, I = 10

Crystal structure
a b c (Å): 4.7831 4.7831 11.5168
angles (deg): 90.00 90.00 120.00
Element x y z (fractional)
Li 0.3333 0.6667 0.1553
Li 0.3333 0.6667 0.4075
Li 0.6667 0.3333 0.5925
Li 0.6667 0.3333 0.8447
Cd 0.0000 0.0000 0.2469
Cd 0.0000 0.0000 0.5000
Cd 0.0000 0.0000 0.7531
Cd 0.3333 0.6667 0.6535
Cd 0.3333 0.6667 0.9117
Cd 0.6667 0.3333 0.0883
Cd 0.6667 0.3333 0.3465
Au 0.0000 0.0000 0.0000